1.
Calculated X-ray powder pattern of PmPr4Se6 for Cu Kα, from the PBE geometry in Alexandria.

Structural model:
a b c (Å): 12.0334 12.0334 14.3338
angles (deg): 90.00 90.00 120.00
Space group R-3c (No. 167, hexagonal axes)
One atom of each set of equivalent atoms:
Pm 0.0000 0.0000 0.0000 (multiplicity 6)
Pr 0.0000 0.0000 0.2500 (multiplicity 6)
Pr 0.0000 0.3871 0.2500 (multiplicity 18)
Se 0.0293 0.2064 0.3839 (multiplicity 36)

Most intense lines, 10° ≤ 2θ ≤ 90°, by angle:
(hkl)  2θ/deg  I (rel.)
1 1 3  23.8  30
3 0 0  25.6  77
0 2 4  30.3  74
1 3 1  31.6  100
2 1 4  33.8  93
2 2 3  35.3  92
4 1 0  39.6  35
3 2 4  45.6  53
1 3 7  55.0  30
3 5 4  68.2  37


2.
Calculated X-ray powder pattern of La6SnAs4 for Cu Kα, from the PBE geometry in Alexandria.

Structural model:
a b c (Å): 4.3969 14.3338 22.2009
angles (deg): 90.00 90.00 90.00
Space group Cmcm (No. 63)
One atom of each set of equivalent atoms:
La 0.0000 0.0000 0.0000 (multiplicity 4)
La 0.0000 0.1712 0.2500 (multiplicity 4)
La 0.0000 0.2734 0.5828 (multiplicity 8)
La 0.0000 0.4556 0.1613 (multiplicity 8)
Sn 0.0000 0.1620 0.7500 (multiplicity 4)
As 0.0000 0.0906 0.1256 (multiplicity 8)
As 0.0000 0.3622 0.0417 (multiplicity 8)

Most intense lines, 10° ≤ 2θ ≤ 90°, by angle:
(hkl)  2θ/deg  I (rel.)
1 1 4  26.6  20
0 2 6  27.1  79
1 3 1  27.9  42
1 3 2  28.7  100
1 3 3  30.1  43
1 1 8  38.9  30
1 5 4  40.9  29
2 0 0  41.1  57
1 5 5  42.8  22
2 2 6  49.9  41


3.
Calculated X-ray powder pattern of YTm4Zn5 for Cu Kα, from the PBE geometry in Alexandria.

Structural model:
a b c (Å): 3.5314 3.5314 17.6842
angles (deg): 90.00 90.00 90.00
Space group P4/mmm (No. 123)
One atom of each set of equivalent atoms:
Y 0.0000 0.0000 0.0000 (multiplicity 1)
Tm 0.0000 0.0000 0.2021 (multiplicity 2)
Tm 0.0000 0.0000 0.4008 (multiplicity 2)
Zn 0.5000 0.5000 0.1040 (multiplicity 2)
Zn 0.5000 0.5000 0.3013 (multiplicity 2)
Zn 0.5000 0.5000 0.5000 (multiplicity 1)

Most intense lines, 10° ≤ 2θ ≤ 90°, by angle:
(hkl)  2θ/deg  I (rel.)
0 0 5  25.2  16
1 1 0  35.9  100
1 1 5  44.4  5
2 0 0  51.7  17
1 0 10  58.4  7
2 1 5  64.6  35
2 2 0  76.2  11
0 0 15  81.7  2
1 0 15  87.2  5
3 1 0  87.3  10